Entry 1:
Starting from a cell relaxed with GGA-PBE, the X-ray diffraction stick pattern of Al2V6Ga was calculated for Cu Kα (λ = 1.5418 Å).
Intensities are scaled so that the largest is 100.

Top 8 peaks for 2θ = 10–90°, in order of falling intensity:
2theta, intensity, (hkl)
41.26, 100, 0 3 0
41.62, 99, 1 -2 1
41.49, 98, 1 0 -2
42.01, 97, 0 1 3
42.79, 92, 0 2 -3
43.78, 84, 1 1 1
57.62, 34, -1 3 2
63.53, 26, 1 -1 4

Atomic structure:
Cell lengths 2.6177, 6.7727, 7.3348 Å; angles 98.65, 92.95, 100.80 degrees
Space group P-1 (No. 2)
Symmetry-distinct sites (fractional):
Al 0.0877 0.1474 0.2669
V 0.1570 0.5008 0.8328
V 0.2947 0.8275 0.3892
V 0.4370 0.1830 0.9412
Ga 0.5000 0.5000 0.5000



Entry 2:
Starting from a cell relaxed with GGA-PBE, the X-ray diffraction stick pattern of Al3V4Ga was calculated for Cu Kα (λ = 1.5418 Å).
Intensities are scaled so that the largest is 100.

Top 8 peaks for 2θ = 10–90°, in order of falling intensity:
2theta, intensity, (hkl)
40.84, 100, 1 1 2
44.82, 19, 4 0 0
46.22, 18, 2 0 -4
51.30, 12, 0 2 0
79.91, 12, 5 1 2
81.94, 12, 5 1 -6
66.35, 11, 2 0 4
88.49, 10, 2 2 4

Atomic structure:
Cell lengths 8.9916, 3.5617, 7.8561 Å; angles 90.00, 115.90, 90.00 degrees
Space group C2/m (No. 12)
Symmetry-distinct sites (fractional):
Al 0.0000 0.0000 0.0000
Al 0.0006 0.5000 0.7504
V 0.2502 0.0000 0.3756
V 0.2501 0.0000 0.8747
Ga 0.0000 0.0000 0.5000